Diffraction record for KLi2Ru6O12. The powder diffraction line list is calculated, not measured: it uses a crystal structure in the Materials Project, relaxed with GGA-PBE and CuKα.

The 8 most intense peaks (10 to 90 degrees two-theta), low angle first:
18.43 deg, I = 91, (1 1 0); 32.20 deg, I = 96, (3 0 0); 37.33 deg, I = 100, (1 1 1); 50.11 deg, I = 54, (2 2 1); 57.41 deg, I = 19, (3 3 0); 60.82 deg, I = 46, (1 4 1); 67.34 deg, I = 17, (0 0 2); 76.59 deg, I = 16, (3 0 2)

Crystal structure
```
data_KLi2Ru6O12
_cell_length_a 9.6306
_cell_length_b 9.6306
_cell_length_c 2.7820
_cell_angle_alpha 90.00
_cell_angle_beta 90.00
_cell_angle_gamma 120.00
_symmetry_space_group_name_H-M 'P -6'
_symmetry_Int_Tables_number 174
_symmetry_space_group_name_Hall 'P -6'
loop_
_atom_site_label
_atom_site_type_symbol
_atom_site_fract_x
_atom_site_fract_y
_atom_site_fract_z
K1 K 0.0000 0.0000 0.0000
Li1 Li 0.3333 0.6667 0.0000
Li2 Li 0.6667 0.3333 0.5000
Ru1 Ru 0.0172 0.3604 0.0000
Ru2 Ru 0.3597 0.3431 0.5000
O1 O 0.1130 0.8056 0.0000
O2 O 0.1321 0.5447 0.5000
O3 O 0.2988 0.1083 0.5000
O4 O 0.5445 0.4118 0.0000
```